La5ScBi4: simulated XRD peak list (λ = 1.5418 Å (Cu Kα)), based on a GGA-PBE-relaxed structure.
Kinematic intensities with the Lorentz-polarization factor, no thermal factor.

Largest 8 diffraction maxima, in order of rising 2θ, 10 to 90 degrees two-theta:
2θ/deg  I (rel.)
25.01  16
28.17  51
28.33  100
39.97  39
40.18  20
40.79  56
49.79  21
66.81  16

Structural model:
```
data_La5ScBi4
_chemical_formula_sum 'La5 Sc1 Bi4'
_space_group_name_H-M_alt 'P 1'
_space_group_IT_number 1
_cell_length_a 10.0713
_cell_length_b 10.0713
_cell_length_c 8.8505
_cell_angle_alpha 104.20
_cell_angle_beta 104.20
_cell_angle_gamma 25.75
loop_
_space_group_symop_operation_xyz
'x,y,z'
loop_
_atom_site_label
_atom_site_type_symbol
_atom_site_fract_x
_atom_site_fract_y
_atom_site_fract_z
La1 La 0.0000 0.0000 0.0000
La2 La 0.3270 0.3270 0.1508
La3 La 0.3321 0.3321 0.6823
La4 La 0.6679 0.6679 0.3177
La5 La 0.6730 0.6730 0.8492
Sc1 Sc 0.0000 0.0000 0.5000
Bi1 Bi 0.1613 0.1613 0.5788
Bi2 Bi 0.4965 0.4965 0.2646
Bi3 Bi 0.5035 0.5035 0.7354
Bi4 Bi 0.8387 0.8387 0.4212
```

---

La4ScBi5: simulated XRD peak list (λ = 1.5418 Å (Cu Kα)), based on a GGA-PBE-relaxed structure.
Kinematic intensities with the Lorentz-polarization factor, no thermal factor.

Largest 8 diffraction maxima, in order of rising 2θ, 10 to 90 degrees two-theta:
2θ/deg  I (rel.)
23.54  21
27.12  51
27.31  100
38.86  79
39.00  38
48.15  42
63.67  34
70.56  25

Structural model:
```
data_La4ScBi5
_chemical_formula_sum 'La4 Sc1 Bi5'
_space_group_name_H-M_alt 'P 1'
_space_group_IT_number 1
_cell_length_a 8.0091
_cell_length_b 8.0091
_cell_length_c 8.0091
_cell_angle_alpha 99.71
_cell_angle_beta 99.71
_cell_angle_gamma 131.51
loop_
_space_group_symop_operation_xyz
'x,y,z'
loop_
_atom_site_label
_atom_site_type_symbol
_atom_site_fract_x
_atom_site_fract_y
_atom_site_fract_z
La1 La 0.0947 0.6993 0.7940
La2 La 0.3007 0.0947 0.3955
La3 La 0.6993 0.9053 0.6045
La4 La 0.9053 0.3007 0.2060
Sc1 Sc 0.5000 0.5000 0.0000
Bi1 Bi 0.0000 0.0000 0.0000
Bi2 Bi 0.2142 0.4032 0.6174
Bi3 Bi 0.4032 0.7858 0.1890
Bi4 Bi 0.5968 0.2142 0.8110
Bi5 Bi 0.7858 0.5968 0.3826
```